Structure and theoretical PXRD pattern of Na4ZrScSi2PO12 (a DFT-relaxed cell (PBE, the Materials Project); Cu Kα (weighted mean of Kα1 and Kα2)).
Lines closer than 0.1° are merged.

Structure:
a b c (Å): 15.9079 9.2034 9.3040
angles (deg): 90.00 124.78 90.00
Space group Cc (No. 9)
One atom of each set of equivalent atoms:
Na1 0.0000 0.0608 0.0000 x4
Na2 0.0677 0.2464 0.7451 x4
Na3 0.1360 0.4281 0.5017 x4
Na4 0.3164 0.1174 0.9939 x4
Zr1 0.2167 0.2491 0.1985 x4
Sc1 0.4165 0.2578 0.8020 x4
Si1 0.1716 0.1051 0.5035 x4
Si2 0.3190 0.4560 0.0021 x4
P1 0.4644 0.1028 0.5035 x4
O1 0.0577 0.3240 0.0183 x4
O2 0.0726 0.1812 0.4825 x4
O3 0.1685 0.0740 0.0184 x4
O4 0.1746 0.1286 0.3302 x4
O5 0.2393 0.3552 0.0195 x4
O6 0.2438 0.4403 0.3298 x4
O7 0.2726 0.1777 0.6728 x4
O8 0.3699 0.1763 0.3390 x4
O9 0.3922 0.4414 0.6708 x4
O10 0.3957 0.3523 0.9840 x4
O11 0.4627 0.1282 0.6642 x4
O12 0.4676 0.0622 0.9804 x4

Main lines, low angle first (2θ = 10–90°):
2θ/deg, I/Imax
13.54, 29.4
19.08, 48.3
19.31, 30.0
22.57, 24.5
27.28, 26.0
30.42, 100.0
33.77, 49.8
46.09, 36.0